This entry pairs a crystal structure of Li5AlSi2 with its calculated powder X-ray diffraction pattern. Radiation: Cu Kα. Structure: a structure optimized by DFT (PBE).
No peak broadening, texture or thermal motion is included.

Structural model:
a b c (Å): 4.6244 4.6244 15.9566
angles (deg): 90.00 90.00 120.00
Space group P6_3/mmc (No. 194)
Asymmetric unit:
1 Li 0.0000 0.0000 0.1370
2 Li 0.3333 0.6667 0.0574
3 Li 0.3333 0.6667 0.2500
4 Al 0.3333 0.6667 0.7500
5 Si 0.3333 0.6667 0.6053

The 10 most intense peaks (2θ from 10° to 80°), by intensity:
| h k l | 2theta | d [Å] | I (rel.) |
| --- | --- | --- | --- |
| 1 0 1 | 22.9 | 3.884 | 100 |
| 1 1 0 | 39.0 | 2.312 | 63 |
| 1 0 0 | 22.2 | 4.003 | 46 |
| 1 0 7 | 45.8 | 1.981 | 35 |
| 1 1 6 | 52.4 | 1.745 | 22 |
| 1 0 6 | 40.7 | 2.215 | 17 |
| 2 1 7 | 75.4 | 1.261 | 16 |
| 2 0 7 | 61.7 | 1.504 | 14 |
| 2 0 1 | 45.7 | 1.987 | 14 |
| 0 0 6 | 33.7 | 2.659 | 14 |

***

This entry pairs a crystal structure of Li12Al3Si4 with its calculated powder X-ray diffraction pattern. Radiation: Cu Kα. Structure: a structure optimized by DFT (PBE).
No peak broadening, texture or thermal motion is included.

Structural model:
a b c (Å): 10.498 10.498 10.498
angles (deg): 90.00 90.00 90.00
Space group I-43d (No. 220)
Asymmetric unit:
1 Li 0.038 0.116 0.652
2 Al 0.000 0.250 0.875
3 Si 0.046 0.046 0.046

The 10 most intense peaks (2θ from 10° to 80°), by intensity:
| h k l | 2theta | d [Å] | I (rel.) |
| --- | --- | --- | --- |
| 2 1 1 | 20.7 | 4.286 | 100 |
| 3 3 2 | 40.3 | 2.238 | 92 |
| 5 1 0 | 44.0 | 2.059 | 70 |
| 3 2 1 | 31.9 | 2.806 | 34 |
| 2 2 0 | 24.0 | 3.712 | 27 |
| 4 2 2 | 42.2 | 2.143 | 27 |
| 8 3 1 | 78.4 | 1.220 | 26 |
| 6 5 1 | 70.7 | 1.333 | 23 |
| 5 4 1 | 56.8 | 1.620 | 16 |
| 5 2 1 | 47.4 | 1.917 | 15 |

***

This entry pairs a crystal structure of LiSm2Al3 with its calculated powder X-ray diffraction pattern. Radiation: Cu Kα. Structure: a structure optimized by DFT (PBE).
No peak broadening, texture or thermal motion is included.

Structural model:
a b c (Å): 5.7139 5.7139 9.0598
angles (deg): 90.00 90.00 120.00
Space group P6_3/mmc (No. 194)
Asymmetric unit:
1 Li 0.0000 0.0000 0.0000
2 Sm 0.3333 0.6667 0.0736
3 Al 0.1698 0.3396 0.7500

The 10 most intense peaks (2θ from 10° to 80°), by intensity:
| h k l | 2theta | d [Å] | I (rel.) |
| --- | --- | --- | --- |
| 1 0 3 | 34.8 | 2.578 | 100 |
| 1 1 0 | 31.3 | 2.857 | 65 |
| 1 0 0 | 17.9 | 4.948 | 58 |
| 1 1 2 | 37.2 | 2.417 | 48 |
| 2 1 3 | 58.0 | 1.590 | 45 |
| 1 0 1 | 20.5 | 4.343 | 40 |
| 2 0 1 | 37.7 | 2.387 | 36 |
| 1 0 2 | 26.7 | 3.341 | 24 |
| 3 1 3 | 76.2 | 1.249 | 20 |
| 2 0 0 | 36.3 | 2.474 | 20 |

***

This entry pairs a crystal structure of LiSm3Al with its calculated powder X-ray diffraction pattern. Radiation: Cu Kα. Structure: a structure optimized by DFT (PBE).
No peak broadening, texture or thermal motion is included.

Structural model:
a b c (Å): 5.210 20.177 5.203
angles (deg): 90.00 90.00 90.00
Space group Cmcm (No. 63)
Asymmetric unit:
1 Li 0.000 0.159 0.250
2 Sm 0.000 0.065 0.750
3 Sm 0.000 0.250 0.750
4 Sm 0.000 0.435 0.750
5 Al 0.000 0.341 0.250

The 10 most intense peaks (2θ from 10° to 80°), by intensity:
| h k l | 2theta | d [Å] | I (rel.) |
| --- | --- | --- | --- |
| 1 5 1 | 32.9 | 2.720 | 100 |
| 1 1 1 | 24.6 | 3.622 | 61 |
| 2 0 0 | 34.5 | 2.603 | 51 |
| 3 5 1 | 60.8 | 1.524 | 34 |
| 1 11 1 | 56.0 | 1.641 | 31 |
| 2 6 0 | 44.0 | 2.059 | 28 |
| 0 6 0 | 26.5 | 3.363 | 27 |
| 2 0 2 | 49.5 | 1.841 | 18 |
| 3 11 1 | 78.0 | 1.225 | 17 |
| 2 6 2 | 57.0 | 1.615 | 13 |

***

This entry pairs a crystal structure of LiSm6Al5 with its calculated powder X-ray diffraction pattern. Radiation: Cu Kα. Structure: a structure optimized by DFT (PBE).
No peak broadening, texture or thermal motion is included.

Structural model:
a b c (Å): 5.236 15.720 7.341
angles (deg): 90.00 90.00 90.00
Space group Cmmm (No. 65)
Asymmetric unit:
1 Li 0.000 0.000 0.000
2 Sm 0.000 0.168 0.249
3 Sm 0.000 0.500 0.252
4 Al 0.000 0.000 0.500
5 Al 0.000 0.334 0.500
6 Al 0.000 0.339 0.000

The 10 most intense peaks (2θ from 10° to 80°), by intensity:
| h k l | 2theta | d [Å] | I (rel.) |
| --- | --- | --- | --- |
| 1 3 2 | 34.4 | 2.607 | 100 |
| 1 3 0 | 24.0 | 3.704 | 66 |
| 2 0 0 | 34.2 | 2.619 | 51 |
| 3 3 2 | 61.4 | 1.510 | 37 |
| 0 0 2 | 24.2 | 3.671 | 32 |
| 2 0 2 | 42.4 | 2.132 | 30 |
| 2 0 4 | 61.7 | 1.503 | 18 |
| 2 6 0 | 49.2 | 1.852 | 18 |
| 1 9 0 | 55.5 | 1.656 | 14 |
| 2 6 2 | 55.6 | 1.653 | 14 |

***

This entry pairs a crystal structure of LiSm5Al3 with its calculated powder X-ray diffraction pattern. Radiation: Cu Kα. Structure: a structure optimized by DFT (PBE).
No peak broadening, texture or thermal motion is included.

Structural model:
a b c (Å): 9.1968 9.1968 6.6313
angles (deg): 90.00 90.00 120.00
Space group P6_3/mcm (No. 193)
Asymmetric unit:
1 Li 0.0000 0.0000 0.0000
2 Sm 0.0000 0.3101 0.2500
3 Sm 0.3333 0.6667 0.0000
4 Al 0.0000 0.3495 0.7500

The 10 most intense peaks (2θ from 10° to 80°), by intensity:
| h k l | 2theta | d [Å] | I (rel.) |
| --- | --- | --- | --- |
| 1 1 2 | 33.3 | 2.689 | 100 |
| 3 0 0 | 33.8 | 2.655 | 98 |
| 1 1 1 | 23.5 | 3.779 | 73 |
| 2 2 2 | 48.2 | 1.889 | 34 |
| 4 1 2 | 60.1 | 1.539 | 32 |
| 3 0 4 | 66.5 | 1.406 | 27 |
| 1 0 0 | 11.1 | 7.965 | 25 |
| 2 0 0 | 22.3 | 3.982 | 18 |
| 3 3 0 | 60.4 | 1.533 | 16 |
| 1 0 2 | 29.2 | 3.061 | 14 |